Structure and theoretical PXRD pattern of Gd2MgTl2W4O16 (a cell relaxed with PBE+U; a wavelength of 1.5418 Å).
No peak broadening, texture or thermal motion is included.

Top 8 peaks for 2θ from 15° to 90°, by angle:
- (0 0 2), 2θ = 25.88°, rel. 1000
- (0 2 0), 2θ = 27.26°, rel. 867
- (2 0 -2), 2θ = 28.53°, rel. 899
- (2 -2 0), 2θ = 28.99°, rel. 878
- (2 0 0), 2θ = 30.42°, rel. 640
- (0 2 -2), 2θ = 32.54°, rel. 461
- (-2 2 2), 2θ = 33.20°, rel. 619
- (-4 2 2), 2θ = 48.45°, rel. 287

Structure:
abc: 7.5456 7.5514 7.9314
angles: 90.75 116.01 116.28
Space group P1 (No. 1)
Asymmetric unit:
Gd (0.0000, 0.0000, 0.0000)
Gd (0.4799, 0.5019, 0.4191)
Mg (0.8606, 0.6566, 0.1865)
Tl (0.0185, 0.5180, 0.5102)
Tl (0.4894, 0.9655, 0.0256)
W (0.0244, 0.0420, 0.5336)
W (0.4207, 0.4511, 0.8904)
W (0.5235, 0.0558, 0.5263)
W (0.9309, 0.4278, 0.9274)
O (0.0396, 0.7156, 0.0365)
O (0.1003, 0.3491, 0.1368)
O (0.1721, 0.5185, 0.8388)
O (0.1925, 0.1518, 0.8335)
O (0.2588, 0.3379, 0.5807)
O (0.2978, 0.9937, 0.5976)
O (0.3807, 0.1331, 0.3026)
O (0.4334, 0.7884, 0.4402)
O (0.5506, 0.5318, 0.1743)
O (0.6264, 0.7054, 0.8866)
O (0.6770, 0.3760, 0.9823)
O (0.7056, 0.3790, 0.6426)
O (0.7575, 0.1048, 0.7950)
O (0.8021, 0.1217, 0.4712)
O (0.8623, 0.7985, 0.5770)
O (0.9422, 0.9488, 0.2754)